Entry 1:
# Ag4AuO4
Computed XRD peak list, CuKα. Input: DFT lattice parameters and positions (PBE).
No peak broadening, texture or thermal motion is included.

Most intense lines, 15 to 90 degrees two-theta, in order of rising 2θ:
2θ = 33.0°, I = 1000
2θ = 37.2°, I = 446
2θ = 40.3°, I = 207
2θ = 53.7°, I = 144
2θ = 56.0°, I = 257
2θ = 64.5°, I = 222

Crystal structure
abc: 5.8444 5.8444 5.8444
angles: 98.44 98.44 134.95
Positions (direct):
Ag  0.0836  0.7251  0.8087
Ag  0.2749  0.0836  0.3585
Ag  0.7251  0.9164  0.6415
Ag  0.9164  0.2749  0.1913
Au  0.5000  0.5000  0.0000
O  0.2388  0.4364  0.6752
O  0.4364  0.7612  0.1976
O  0.5636  0.2388  0.8024
O  0.7612  0.5636  0.3248

Entry 2:
# Ag3AuO3
Computed XRD peak list, CuKα. Input: DFT lattice parameters and positions (PBE).
No peak broadening, texture or thermal motion is included.

Most intense lines, 15 to 90 degrees two-theta, in order of rising 2θ:
2θ = 31.3°, I = 612
2θ = 34.3°, I = 1000
2θ = 40.8°, I = 388
2θ = 41.9°, I = 620
2θ = 42.2°, I = 467
2θ = 59.9°, I = 409

Crystal structure
abc: 7.4754 7.4754 4.4198
angles: 90.00 90.00 120.00
Positions (direct):
Ag  0.0707  0.7081  0.2500
Ag  0.2919  0.3626  0.2500
Ag  0.3626  0.0707  0.7500
Ag  0.6374  0.9293  0.2500
Ag  0.7081  0.6374  0.7500
Ag  0.9293  0.2919  0.7500
Au  0.3333  0.6667  0.7500
Au  0.6667  0.3333  0.2500
O  0.0414  0.6962  0.7500
O  0.3038  0.3452  0.7500
O  0.3452  0.0414  0.2500
O  0.6548  0.9586  0.7500
O  0.6962  0.6548  0.2500
O  0.9586  0.3038  0.2500

Entry 3:
# AgAuS2O8
Computed XRD peak list, CuKα. Input: DFT lattice parameters and positions (PBE).
No peak broadening, texture or thermal motion is included.

Most intense lines, 15 to 90 degrees two-theta, in order of rising 2θ:
2θ = 22.3°, I = 345
2θ = 25.8°, I = 1000
2θ = 36.8°, I = 350
2θ = 36.9°, I = 303
2θ = 43.5°, I = 386
2θ = 66.3°, I = 194

Crystal structure
abc: 8.4185 8.4185 8.4185
angles: 33.74 33.74 33.74
Positions (direct):
Ag  0.0000  0.0000  0.0000
Au  0.5000  0.5000  0.5000
S  0.2499  0.2499  0.2499
S  0.7501  0.7501  0.7501
O  0.0669  0.4866  0.7583
O  0.2417  0.5134  0.9331
O  0.3119  0.3119  0.3119
O  0.4866  0.7583  0.0669
O  0.5134  0.9331  0.2417
O  0.6881  0.6881  0.6881
O  0.7583  0.0669  0.4866
O  0.9331  0.2417  0.5134

Entry 4:
# Y2AgAuO5
Computed XRD peak list, CuKα. Input: DFT lattice parameters and positions (PBE).
No peak broadening, texture or thermal motion is included.

Most intense lines, 15 to 90 degrees two-theta, in order of rising 2θ:
2θ = 27.0°, I = 192
2θ = 30.6°, I = 315
2θ = 31.1°, I = 1000
2θ = 38.6°, I = 266
2θ = 50.0°, I = 246
2θ = 54.7°, I = 201

Crystal structure
abc: 6.5951 6.5951 5.8522
angles: 90.00 90.00 90.00
Positions (direct):
Y  0.1761  0.3239  0.0000
Y  0.3239  0.8239  0.0000
Y  0.6761  0.1761  0.0000
Y  0.8239  0.6761  0.0000
Ag  0.0000  0.0000  0.5000
Ag  0.5000  0.5000  0.5000
Au  0.0000  0.5000  0.5000
Au  0.5000  0.0000  0.5000
O  0.0000  0.0000  0.0000
O  0.1356  0.6356  0.2354
O  0.1356  0.6356  0.7646
O  0.3644  0.1356  0.2354
O  0.3644  0.1356  0.7646
O  0.5000  0.5000  0.0000
O  0.6356  0.8644  0.2354
O  0.6356  0.8644  0.7646
O  0.8644  0.3644  0.2354
O  0.8644  0.3644  0.7646

Entry 5:
# AgPAu2Se4
Computed XRD peak list, CuKα. Input: DFT lattice parameters and positions (PBE).
No peak broadening, texture or thermal motion is included.

Most intense lines, 15 to 90 degrees two-theta, in order of rising 2θ:
2θ = 16.8°, I = 162
2θ = 26.2°, I = 1000
2θ = 43.2°, I = 230
2θ = 43.6°, I = 453
2θ = 51.3°, I = 297
2θ = 51.9°, I = 153

Crystal structure
abc: 7.1737 7.1737 7.1737
angles: 131.28 131.28 71.37
Positions (direct):
Ag  0.0000  0.0000  0.0000
P  0.7500  0.2500  0.5000
Au  0.2500  0.7500  0.5000
Au  0.5000  0.5000  0.0000
Se  0.0923  0.1428  0.5071
Se  0.4149  0.9077  0.0505
Se  0.6356  0.5851  0.4929
Se  0.8572  0.3644  0.9495

Entry 6:
# PaAgAu
Computed XRD peak list, CuKα. Input: DFT lattice parameters and positions (PBE).
No peak broadening, texture or thermal motion is included.

Most intense lines, 15 to 90 degrees two-theta, in order of rising 2θ:
2θ = 36.1°, I = 1000
2θ = 37.0°, I = 894
2θ = 52.7°, I = 345
2θ = 66.1°, I = 352
2θ = 72.7°, I = 253
2θ = 89.9°, I = 166

Crystal structure
abc: 4.8576 4.8576 3.0824
angles: 90.00 90.00 120.00
Positions (direct):
Pa  0.0000  0.0000  0.0000
Ag  0.3333  0.6667  0.5000
Au  0.6667  0.3333  0.5000

Entry 7:
# Ag8PbAu4
Computed XRD peak list, CuKα. Input: DFT lattice parameters and positions (PBE).
No peak broadening, texture or thermal motion is included.

Most intense lines, 15 to 90 degrees two-theta, in order of rising 2θ:
2θ = 36.2°, I = 589
2θ = 38.1°, I = 715
2θ = 38.8°, I = 1000
2θ = 39.5°, I = 935
2θ = 41.1°, I = 619
2θ = 75.8°, I = 302

Crystal structure
abc: 2.9622 4.7236 18.2246
angles: 90.00 90.00 90.00
Positions (direct):
Ag  0.0000  0.0000  0.0000
Ag  0.0000  0.0000  0.2767
Ag  0.0000  0.5000  0.1833
Ag  0.0000  0.5000  0.4641
Ag  0.5000  0.0000  0.4167
Ag  0.5000  0.0000  0.6937
Ag  0.5000  0.5000  0.0406
Ag  0.5000  0.5000  0.6063
Pb  0.5000  0.0000  0.8540
Au  0.0000  0.0000  0.5558
Au  0.0000  0.5000  0.7558
Au  0.5000  0.0000  0.1366
Au  0.5000  0.5000  0.3242

Entry 8:
# AgPb2Au
Computed XRD peak list, CuKα. Input: DFT lattice parameters and positions (PBE).
No peak broadening, texture or thermal motion is included.

Most intense lines, 15 to 90 degrees two-theta, in order of rising 2θ:
2θ = 31.5°, I = 831
2θ = 31.6°, I = 898
2θ = 32.0°, I = 377
2θ = 37.5°, I = 660
2θ = 38.9°, I = 1000
2θ = 39.2°, I = 388

Crystal structure
abc: 5.9313 4.6334 7.5751
angles: 90.00 109.20 90.00
Positions (direct):
Ag  0.1557  0.2500  0.2929
Ag  0.8443  0.7500  0.7071
Pb  0.2981  0.7500  0.0745
Pb  0.3008  0.7500  0.5796
Pb  0.6992  0.2500  0.4204
Pb  0.7019  0.2500  0.9255
Au  0.1573  0.2500  0.7888
Au  0.8427  0.7500  0.2112